# Tb2Pr2Sm2Mg
Calculated powder X-ray diffraction pattern, a wavelength of 1.5418 Å. Input: a PBE-relaxed structure.

Structure:
```
data_Tb2Pr2Sm2Mg
_chemical_formula_sum 'Tb4 Pr4 Sm4 Mg2'
_cell_length_a 11.843
_cell_length_b 3.567
_cell_length_c 11.833
_cell_angle_alpha 90.00
_cell_angle_beta 112.29
_cell_angle_gamma 90.00
_symmetry_space_group_name_H-M 'P 1'
_symmetry_Int_Tables_number 1
loop_
_symmetry_equiv_pos_as_xyz
'x,y,z'
loop_
_atom_site_label
_atom_site_fract_x
_atom_site_fract_y
_atom_site_fract_z
Tb1 0.170 0.000 0.084
Tb2 0.330 0.500 0.916
Tb3 0.670 0.500 0.084
Tb4 0.830 0.000 0.916
Pr1 0.047 0.000 0.763
Pr2 0.453 0.500 0.237
Pr3 0.547 0.500 0.763
Pr4 0.953 0.000 0.237
Sm1 0.237 0.500 0.363
Sm2 0.263 0.000 0.637
Sm3 0.737 0.000 0.363
Sm4 0.763 0.500 0.637
Mg1 0.000 0.500 0.500
Mg2 0.500 0.000 0.500
```

Principal peaks in the range 10 to 80 degrees two-theta, low angle first:
2θ 16.18, 5.477 Å, intensity 172, hkl 2 0 0
2θ 26.28, 3.392 Å, intensity 253, hkl 1 1 0
2θ 28.45, 3.137 Å, intensity 196, hkl 1 1 1
2θ 30.48, 2.933 Å, intensity 1000, hkl 2 0 -4
2θ 32.65, 2.742 Å, intensity 611, hkl 1 1 2
2θ 34.30, 2.614 Å, intensity 272, hkl 2 0 3
2θ 34.62, 2.591 Å, intensity 444, hkl 3 1 -2
2θ 52.30, 1.749 Å, intensity 245, hkl 5 1 1
2θ 60.78, 1.524 Å, intensity 282, hkl 2 2 -4
2θ 62.81, 1.480 Å, intensity 148, hkl 3 1 5